The following is a theoretical powder diffraction line list of BaTbMn2O6. It was derived from a GGA+U-relaxed structure, using copper Kα.
Peak positions follow from Bragg's law for the DFT cell and can differ from measured ones.

The 10 most intense peaks (5° ≤ 2θ ≤ 70°), sorted by position:
(hkl), two_theta, Rel. int.
0 0 2, 22.8, 19
0 2 2, 32.1, 100
2 0 2, 32.5, 52
2 2 2, 39.8, 28
0 4 0, 45.6, 17
4 0 0, 46.5, 15
0 0 4, 46.7, 14
2 4 2, 57.1, 20
2 2 4, 57.7, 42
4 4 0, 67.2, 9

```
data_BaTbMn2O6
_chemical_formula_sum 'Ba4 Tb4 Mn8 O24'
_cell_length_a 7.8073
_cell_length_b 7.9655
_cell_length_c 7.7845
_cell_angle_alpha 90.00
_cell_angle_beta 90.00
_cell_angle_gamma 90.00
_space_group_name_H-M_alt 'C m m m'
_space_group_IT_number 65
_space_group_name_Hall '-C 2 2'
loop_
_atom_site_label
_atom_site_type_symbol
_atom_site_fract_x
_atom_site_fract_y
_atom_site_fract_z
_atom_site_occupancy
Ba1 Ba 0.0000 0.2462 0.0000 1
Tb1 Tb 0.0000 0.2365 0.5000 1
Mn1 Mn 0.2490 0.5000 0.2585 1
O1 O 0.0000 0.0000 0.2359 1
O2 O 0.0000 0.5000 0.3141 1
O3 O 0.1880 0.0000 0.5000 1
O4 O 0.2275 0.5000 0.0000 1
O5 O 0.2500 0.2500 0.2872 1
```